Entry 1:
# BaCd2AgPt
Calculated powder diffraction line list, a wavelength of 1.5418 Å. Input: a structure optimized by DFT (PBE).
No peak broadening, texture or thermal motion is included.

Peak list (10 most intense, 2θ from 10° to 90°, in order of falling intensity)
d/Å  I (rel.)
2.264  100
2.829  99
1.569  39
2.175  35
3.139  34
2.238  22
3.076  19
6.526  15
1.593  15
1.351  12

Structural model:
```
data_BaCd2AgPt
_chemical_formula_sum 'Ba1 Cd2 Ag1 Pt1'
_symmetry_space_group_name_H-M 'P 1'
_symmetry_Int_Tables_number 1
_symmetry_space_group_name_Hall 'P 1'
_cell_length_a 7.243
_cell_length_b 7.243
_cell_length_c 7.243
_cell_angle_alpha 145.05
_cell_angle_beta 143.52
_cell_angle_gamma 51.41
loop_
_atom_site_label
_atom_site_fract_x
_atom_site_fract_y
_atom_site_fract_z
Ba1 0.000 0.000 0.000
Cd1 0.370 0.370 0.000
Cd2 0.722 0.222 0.500
Ag1 0.221 0.721 0.500
Pt1 0.581 0.581 0.000
```

Entry 2:
# Ba6CdAg2Sn4S16
Calculated powder diffraction line list, a wavelength of 1.5418 Å. Input: a structure optimized by DFT (PBE).
No peak broadening, texture or thermal motion is included.

Peak list (10 most intense, 2θ from 10° to 90°, in order of falling intensity)
d/Å  I (rel.)
3.185  100
2.641  81
3.992  76
3.735  63
1.898  37
2.424  24
3.049  22
2.034  18
2.204  18
1.895  17

Structural model:
```
data_Ba6CdAg2Sn4S16
_chemical_formula_sum 'Ba12 Cd2 Ag4 Sn8 S32'
_symmetry_space_group_name_H-M 'P 1'
_symmetry_Int_Tables_number 1
_symmetry_space_group_name_Hall 'P 1'
_cell_length_a 12.937
_cell_length_b 12.937
_cell_length_c 12.937
_cell_angle_alpha 109.37
_cell_angle_beta 109.37
_cell_angle_gamma 109.67
loop_
_atom_site_label
_atom_site_fract_x
_atom_site_fract_y
_atom_site_fract_z
Ba1 0.106 0.125 0.481
Ba2 0.143 0.143 0.000
Ba3 0.357 0.625 0.232
Ba4 0.375 0.607 0.732
Ba5 0.375 0.894 0.019
Ba6 0.393 0.125 0.768
Ba7 0.607 0.107 0.500
Ba8 0.644 0.625 0.519
Ba9 0.857 0.857 0.000
Ba10 0.875 0.356 0.981
Ba11 0.875 0.643 0.268
Ba12 0.893 0.393 0.500
Cd1 0.250 0.750 0.500
Cd2 0.500 0.500 0.000
Ag1 0.375 0.248 0.373
Ag2 0.752 0.125 0.127
Ag3 0.875 0.002 0.627
Ag4 0.998 0.625 0.873
Sn1 0.079 0.834 0.706
Sn2 0.123 0.378 0.794
Sn3 0.128 0.373 0.294
Sn4 0.166 0.872 0.245
Sn5 0.584 0.329 0.206
Sn6 0.622 0.416 0.745
Sn7 0.627 0.921 0.755
Sn8 0.671 0.877 0.255
S1 0.085 0.852 0.901
S2 0.102 0.029 0.708
S3 0.109 0.551 0.278
S4 0.127 0.377 0.479
S5 0.127 0.377 0.979
S6 0.144 0.571 0.792
S7 0.148 0.049 0.233
S8 0.169 0.891 0.443
S9 0.274 0.831 0.722
S10 0.301 0.359 0.778
S11 0.321 0.394 0.292
S12 0.352 0.873 0.250
S13 0.398 0.148 0.021
S14 0.429 0.221 0.573
S15 0.449 0.726 0.557
S16 0.476 0.699 0.057
S17 0.581 0.524 0.222
S18 0.602 0.335 0.401
S19 0.606 0.898 0.927
S20 0.623 0.102 0.750
S21 0.623 0.602 0.750
S22 0.641 0.419 0.943
S23 0.648 0.856 0.427
S24 0.665 0.066 0.267
S25 0.779 0.352 0.208
S26 0.799 0.398 0.733
S27 0.816 0.915 0.767
S28 0.852 0.873 0.250
S29 0.898 0.648 0.521
S30 0.934 0.201 0.599
S31 0.951 0.184 0.099
S32 0.971 0.679 0.073
```

Entry 3:
# BaCdAgSb2
Calculated powder diffraction line list, a wavelength of 1.5418 Å. Input: a structure optimized by DFT (PBE).
No peak broadening, texture or thermal motion is included.

Peak list (10 most intense, 2θ from 10° to 90°, in order of falling intensity)
d/Å  I (rel.)
2.967  100
3.258  73
2.329  65
2.372  43
2.358  40
1.894  31
1.657  27
1.378  23
1.647  22
1.440  21

Structural model:
```
data_BaCdAgSb2
_chemical_formula_sum 'Ba1 Cd1 Ag1 Sb2'
_symmetry_space_group_name_H-M 'P 1'
_symmetry_Int_Tables_number 1
_symmetry_space_group_name_Hall 'P 1'
_cell_length_a 7.589
_cell_length_b 7.589
_cell_length_c 7.589
_cell_angle_alpha 144.26
_cell_angle_beta 144.26
_cell_angle_gamma 51.44
loop_
_atom_site_label
_atom_site_fract_x
_atom_site_fract_y
_atom_site_fract_z
Ba1 0.000 0.000 0.000
Cd1 0.750 0.250 0.500
Ag1 0.250 0.750 0.500
Sb1 0.380 0.380 0.000
Sb2 0.620 0.620 0.000
```

Entry 4:
# BaSrCdAg
Calculated powder diffraction line list, a wavelength of 1.5418 Å. Input: a structure optimized by DFT (PBE).
No peak broadening, texture or thermal motion is included.

Peak list (10 most intense, 2θ from 10° to 90°, in order of falling intensity)
d/Å  I (rel.)
3.284  100
2.648  81
3.119  45
2.676  42
2.504  34
2.315  27
1.953  23
1.751  23
6.330  21
1.700  21

Structural model:
```
data_BaSrCdAg
_chemical_formula_sum 'Ba1 Sr1 Cd1 Ag1'
_symmetry_space_group_name_H-M 'P 1'
_symmetry_Int_Tables_number 1
_symmetry_space_group_name_Hall 'P 1'
_cell_length_a 5.009
_cell_length_b 6.740
_cell_length_c 6.740
_cell_angle_alpha 40.18
_cell_angle_beta 90.00
_cell_angle_gamma 90.00
loop_
_atom_site_label
_atom_site_fract_x
_atom_site_fract_y
_atom_site_fract_z
Ba1 0.000 0.000 0.000
Sr1 0.500 0.718 0.718
Cd1 0.000 0.287 0.287
Ag1 0.500 0.419 0.419
```